# BiCO3
Simulated powder diffraction line list, Cu Kα (weighted mean of Kα1 and Kα2). Input: DFT lattice parameters and positions (GGA-PBE).

Most intense lines, 10 to 90 degrees two-theta, sorted by position:
- 20.0 deg, I 1000
- 20.8 deg, I 318
- 22.8 deg, I 758
- 23.0 deg, I 265
- 25.9 deg, I 209
- 26.3 deg, I 401
- 29.5 deg, I 545
- 31.3 deg, I 221
- 34.4 deg, I 332
- 36.6 deg, I 350

Crystal structure
```
data_BiCO3
_chemical_formula_sum 'Bi4 C4 O12'
_space_group_name_H-M_alt 'P -1'
_space_group_IT_number 2
_cell_length_a 5.2137
_cell_length_b 6.9776
_cell_length_c 8.6345
_cell_angle_alpha 99.09
_cell_angle_beta 90.03
_cell_angle_gamma 90.63
loop_
_space_group_symop_operation_xyz
'x,y,z'
'-x,-y,-z'
loop_
_atom_site_label
_atom_site_type_symbol
_atom_site_fract_x
_atom_site_fract_y
_atom_site_fract_z
Bi1 Bi 0.2454 0.2035 0.1578
Bi2 Bi 0.2521 0.6336 0.3366
C1 C 0.2462 0.3346 0.7793
C2 C 0.2614 0.8464 0.7233
O1 O 0.0318 0.3012 0.8481
O2 O 0.0444 0.8649 0.6532
O3 O 0.2451 0.3983 0.6464
O4 O 0.2659 0.8035 0.8638
O5 O 0.4602 0.3017 0.8473
O6 O 0.4765 0.8663 0.6502
```

# BiC3O10
Simulated powder diffraction line list, Cu Kα (weighted mean of Kα1 and Kα2). Input: DFT lattice parameters and positions (GGA-PBE).

Most intense lines, 10 to 90 degrees two-theta, sorted by position:
- 10.2 deg, I 498
- 11.3 deg, I 412
- 14.4 deg, I 1000
- 16.8 deg, I 826
- 17.1 deg, I 446
- 19.4 deg, I 264
- 20.4 deg, I 359
- 22.4 deg, I 303
- 24.8 deg, I 210
- 26.0 deg, I 203

Crystal structure
```
data_BiC3O10
_chemical_formula_sum 'Bi4 C12 O40'
_space_group_name_H-M_alt 'P 1'
_space_group_IT_number 1
_cell_length_a 9.2615
_cell_length_b 9.5471
_cell_length_c 11.2582
_cell_angle_alpha 103.95
_cell_angle_beta 101.94
_cell_angle_gamma 105.91
loop_
_space_group_symop_operation_xyz
'x,y,z'
loop_
_atom_site_label
_atom_site_type_symbol
_atom_site_fract_x
_atom_site_fract_y
_atom_site_fract_z
Bi1 Bi 0.0000 0.0000 0.0000
Bi2 Bi 0.2006 0.8041 0.6878
Bi3 Bi 0.4296 0.6674 0.2068
Bi4 Bi 0.7509 0.1327 0.4706
C1 C 0.0101 0.9753 0.5417
C2 C 0.0346 0.4556 0.6489
C3 C 0.1653 0.3465 0.0398
C4 C 0.1849 0.8286 0.1459
C5 C 0.2438 0.8113 0.0253
C6 C 0.2928 0.2949 0.1120
C7 C 0.3136 0.6642 0.4484
C8 C 0.4405 0.8274 0.5025
C9 C 0.7610 0.9703 0.1868
C10 C 0.8813 0.1364 0.2373
C11 C 0.9091 0.5090 0.5754
C12 C 0.9495 0.9929 0.6628
O1 O 0.0254 0.9590 0.7539
O2 O 0.0401 0.2435 0.9644
O3 O 0.0784 0.8867 0.1526
O4 O 0.1195 0.9195 0.5384
O5 O 0.1609 0.5591 0.7234
O6 O 0.1694 0.8456 0.9338
O7 O 0.1964 0.4895 0.0582
O8 O 0.2164 0.6298 0.5101
O9 O 0.2465 0.7821 0.2335
O10 O 0.2542 0.1516 0.1020
O11 O 0.3145 0.5707 0.3476
O12 O 0.3593 0.7662 0.0270
O13 O 0.3772 0.2682 0.4698
O14 O 0.4257 0.3928 0.1710
O15 O 0.4341 0.1355 0.8878
O16 O 0.4386 0.4370 0.8554
O17 O 0.4396 0.9139 0.6057
O18 O 0.4667 0.3035 0.5840
O19 O 0.5114 0.1401 0.3729
O20 O 0.5252 0.5129 0.9647
O21 O 0.5358 0.8563 0.4370
O22 O 0.5365 0.1664 0.9890
O23 O 0.5417 0.8483 0.8446
O24 O 0.5516 0.2177 0.6044
O25 O 0.6577 0.9482 0.8428
O26 O 0.6632 0.6341 0.6987
O27 O 0.6704 0.9382 0.2558
O28 O 0.7548 0.6438 0.3307
O29 O 0.7604 0.8833 0.0837
O30 O 0.7672 0.6580 0.7970
O31 O 0.7679 0.4383 0.0058
O32 O 0.7777 0.4115 0.5123
O33 O 0.7985 0.4081 0.9034
O34 O 0.8334 0.0363 0.6607
O35 O 0.8463 0.6024 0.2773
O36 O 0.8763 0.2303 0.3365
O37 O 0.9474 0.0170 0.4524
O38 O 0.9472 0.6531 0.5884
O39 O 0.9773 0.1732 0.1756
O40 O 0.9989 0.3133 0.6313
```

# TbBi2C
Simulated powder diffraction line list, Cu Kα (weighted mean of Kα1 and Kα2). Input: DFT lattice parameters and positions (GGA-PBE).

Most intense lines, 10 to 90 degrees two-theta, sorted by position:
- 23.3 deg, I 366
- 24.4 deg, I 305
- 27.8 deg, I 675
- 31.0 deg, I 1000
- 32.1 deg, I 495
- 32.9 deg, I 317
- 35.3 deg, I 294
- 36.2 deg, I 905
- 42.6 deg, I 565
- 63.2 deg, I 304

Crystal structure
```
data_TbBi2C
_chemical_formula_sum 'Tb8 Bi16 C8'
_space_group_name_H-M_alt 'P 42/m b c'
_space_group_IT_number 135
_space_group_name_Hall '-P 4c 2ab'
_cell_length_a 11.5517
_cell_length_b 11.5517
_cell_length_c 5.6621
_cell_angle_alpha 90.00
_cell_angle_beta 90.00
_cell_angle_gamma 90.00
loop_
_atom_site_label
_atom_site_type_symbol
_atom_site_fract_x
_atom_site_fract_y
_atom_site_fract_z
Tb1 Tb 0.1615 0.3385 0.2500
Bi1 Bi 0.0662 0.1207 0.0000
Bi2 Bi 0.1095 0.6106 0.0000
C1 C 0.0769 0.1438 0.5000
```